[1]
Diffraction record for PrNi4As2. The XRD peak list is simulated, not measured: it uses a cell relaxed with GGA-PBE and copper Kα.

Peak list (6 most intense, 15° ≤ 2θ ≤ 90°, in order of rising 2θ)
| hkl | Position (°2θ) | intensity |
| --- | --- | --- |
| 2 2 0 | 34.22 | 27 |
| 2 1 1 | 35.96 | 100 |
| 3 1 0 | 38.41 | 41 |
| 2 2 1 | 41.89 | 32 |
| 3 1 1 | 45.48 | 56 |
| 0 0 2 | 47.90 | 29 |

Cell and atoms:
```
PrNi4As2
1.0
7.411 0.000 0.000
0.000 7.411 0.000
0.000 0.000 3.798
Pr Ni As
2 8 4
direct
0.000 0.000 0.000
0.500 0.500 0.500
0.087 0.348 0.500
0.152 0.587 0.000
0.348 0.087 0.500
0.413 0.848 0.000
0.587 0.152 0.000
0.652 0.913 0.500
0.848 0.413 0.000
0.913 0.652 0.500
0.220 0.780 0.500
0.280 0.280 0.000
0.720 0.720 0.000
0.780 0.220 0.500
```



[2]
Diffraction record for Pr2NiAs3Pt4. The XRD peak list is simulated, not measured: it uses a cell relaxed with GGA-PBE and copper Kα.

Peak list (6 most intense, 15° ≤ 2θ ≤ 90°, in order of rising 2θ)
| hkl | Position (°2θ) | intensity |
| --- | --- | --- |
| 1 1 1 | 30.17 | 37 |
| 1 0 3 | 33.77 | 70 |
| 1 1 2 | 34.02 | 100 |
| 2 0 0 | 41.17 | 83 |
| 1 1 4 | 46.66 | 38 |
| 2 1 3 | 54.26 | 37 |

Cell and atoms:
```
Pr2NiAs3Pt4
1.0
4.386 0.000 0.000
0.000 4.386 0.000
0.000 0.000 10.003
Pr Ni As Pt
2 1 3 4
direct
0.000 0.500 0.247
0.500 0.000 0.753
0.500 0.500 0.000
0.000 0.000 0.000
0.000 0.500 0.635
0.500 0.000 0.365
0.000 0.000 0.500
0.000 0.500 0.880
0.500 0.000 0.120
0.500 0.500 0.500
```



[3]
Diffraction record for Pr2Ni3As4Rh. The XRD peak list is simulated, not measured: it uses a cell relaxed with GGA-PBE and copper Kα.

Peak list (6 most intense, 15° ≤ 2θ ≤ 90°, in order of rising 2θ)
| hkl | Position (°2θ) | intensity |
| --- | --- | --- |
| 1 0 3 | 34.99 | 61 |
| 1 1 2 | 35.15 | 100 |
| 2 0 0 | 42.46 | 62 |
| 2 1 3 | 56.15 | 31 |
| 2 2 0 | 61.61 | 20 |
| 3 1 2 | 72.93 | 30 |

Cell and atoms:
```
Pr2Ni3As4Rh
1.0
4.258 0.000 0.000
0.000 4.258 0.000
0.000 0.000 9.636
Pr Ni As Rh
2 3 4 1
direct
0.000 0.500 0.247
0.500 0.000 0.753
0.000 0.500 0.884
0.500 0.000 0.116
0.500 0.500 0.500
0.000 0.000 0.000
0.000 0.500 0.636
0.500 0.000 0.364
0.500 0.500 0.000
0.000 0.000 0.500
```



[4]
Diffraction record for Pr2ZnNi4As3. The XRD peak list is simulated, not measured: it uses a cell relaxed with GGA-PBE and copper Kα.

Peak list (6 most intense, 15° ≤ 2θ ≤ 90°, in order of rising 2θ)
| hkl | Position (°2θ) | intensity |
| --- | --- | --- |
| 1 0 3 | 35.11 | 70 |
| 1 1 2 | 35.69 | 100 |
| 2 0 0 | 43.53 | 62 |
| 1 0 5 | 51.91 | 26 |
| 2 1 3 | 57.10 | 34 |
| 3 1 2 | 74.79 | 22 |

Cell and atoms:
```
Pr2ZnNi4As3
1.0
4.159 0.000 0.000
0.000 4.159 0.000
0.000 0.000 9.722
Pr Zn Ni As
2 1 4 3
direct
0.000 0.500 0.244
0.500 0.000 0.756
0.000 0.000 0.500
0.000 0.000 0.000
0.000 0.500 0.626
0.500 0.000 0.374
0.500 0.500 0.000
0.000 0.500 0.869
0.500 0.000 0.131
0.500 0.500 0.500
```